Record 1
For AcPb3S4, a cell relaxed with PBE gives the simulated powder diffraction line list in this record (CuKα).
Peak positions follow from Bragg's law for the DFT cell and can differ from measured ones.

Top 8 peaks for 5° ≤ 2θ ≤ 70°, in order of rising 2θ:
25.38 deg, I 97
29.39 deg, I 100
42.04 deg, I 76
49.75 deg, I 52
52.13 deg, I 27
60.97 deg, I 13
67.12 deg, I 22
69.11 deg, I 36

Atomic structure:
a b c (Å): 6.078 6.078 6.078
angles (deg): 90.00 90.00 90.00
Element x y z (fractional)
1 Ac 0.000 0.000 0.000
2 Pb 0.000 0.500 0.500
3 Pb 0.500 0.000 0.500
4 Pb 0.500 0.500 0.000
5 S 0.000 0.000 0.500
6 S 0.000 0.500 0.000
7 S 0.500 0.000 0.000
8 S 0.500 0.500 0.500

Record 2
For Ac4PbS3, a cell relaxed with PBE gives the simulated powder diffraction line list in this record (CuKα).
Peak positions follow from Bragg's law for the DFT cell and can differ from measured ones.

Top 10 peaks for 5° ≤ 2θ ≤ 70°, in order of rising 2θ:
24.30 deg, I 22
24.43 deg, I 21
28.21 deg, I 100
40.16 deg, I 13
40.31 deg, I 51
40.48 deg, I 12
49.79 deg, I 14
50.06 deg, I 13
58.33 deg, I 13
66.02 deg, I 24

Atomic structure:
a b c (Å): 4.491 6.331 8.913
angles (deg): 90.00 90.00 90.00
Element x y z (fractional)
1 Ac 0.000 0.000 0.000
2 Ac 0.000 0.000 0.500
3 Ac 0.500 0.500 0.233
4 Ac 0.500 0.500 0.767
5 Pb 0.000 0.500 0.500
6 S 0.000 0.500 0.000
7 S 0.500 0.000 0.242
8 S 0.500 0.000 0.758

Record 3
For Ac7PbS5, a cell relaxed with PBE gives the simulated powder diffraction line list in this record (CuKα).
Peak positions follow from Bragg's law for the DFT cell and can differ from measured ones.

Top 10 peaks for 5° ≤ 2θ ≤ 70°, in order of rising 2θ:
25.07 deg, I 39
26.12 deg, I 14
27.16 deg, I 100
28.42 deg, I 62
29.47 deg, I 46
40.54 deg, I 24
40.75 deg, I 16
41.64 deg, I 17
49.48 deg, I 32
50.78 deg, I 14

Atomic structure:
a b c (Å): 7.414 7.414 25.944
angles (deg): 90.00 90.00 145.07
Element x y z (fractional)
1 Ac 0.026 0.974 0.750
2 Ac 0.135 0.865 0.036
3 Ac 0.135 0.865 0.464
4 Ac 0.324 0.676 0.672
5 Ac 0.324 0.676 0.828
6 Ac 0.404 0.596 0.108
7 Ac 0.404 0.596 0.392
8 Ac 0.596 0.404 0.608
9 Ac 0.596 0.404 0.892
10 Ac 0.676 0.324 0.172
11 Ac 0.676 0.324 0.328
12 Ac 0.865 0.135 0.536
13 Ac 0.865 0.135 0.964
14 Ac 0.974 0.026 0.250
15 Pb 0.294 0.706 0.250
16 Pb 0.706 0.294 0.750
17 S 0.039 0.961 0.139
18 S 0.039 0.961 0.361
19 S 0.230 0.770 0.568
20 S 0.230 0.770 0.932
21 S 0.500 0.500 0.000
22 S 0.500 0.500 0.500
23 S 0.770 0.230 0.068
24 S 0.770 0.230 0.432
25 S 0.961 0.039 0.639
26 S 0.961 0.039 0.861

Record 4
For Ac10Sb3Pb3, a cell relaxed with PBE gives the simulated powder diffraction line list in this record (CuKα).
Peak positions follow from Bragg's law for the DFT cell and can differ from measured ones.

Top 10 peaks for 5° ≤ 2θ ≤ 70°, in order of rising 2θ:
26.83 deg, I 21
27.43 deg, I 33
30.15 deg, I 100
30.66 deg, I 86
31.19 deg, I 48
44.30 deg, I 24
47.04 deg, I 30
49.35 deg, I 17
59.54 deg, I 17
60.72 deg, I 22

Atomic structure:
a b c (Å): 9.934 9.934 7.205
angles (deg): 90.00 90.00 120.00
Element x y z (fractional)
1 Ac 0.000 0.246 0.000
2 Ac 0.000 0.754 0.500
3 Ac 0.246 0.000 0.000
4 Ac 0.246 0.246 0.500
5 Ac 0.333 0.667 0.255
6 Ac 0.333 0.667 0.745
7 Ac 0.667 0.333 0.255
8 Ac 0.667 0.333 0.745
9 Ac 0.754 0.000 0.500
10 Ac 0.754 0.754 0.000
11 Sb 0.000 0.388 0.500
12 Sb 0.388 0.000 0.500
13 Sb 0.612 0.612 0.500
14 Pb 0.000 0.608 0.000
15 Pb 0.392 0.392 0.000
16 Pb 0.608 0.000 0.000

Please write out number 4 again, unchanged.
For Ac10Sb3Pb3, a cell relaxed with PBE gives the simulated powder diffraction line list in this record (CuKα).
Peak positions follow from Bragg's law for the DFT cell and can differ from measured ones.

Top 10 peaks for 5° ≤ 2θ ≤ 70°, in order of rising 2θ:
26.83 deg, I 21
27.43 deg, I 33
30.15 deg, I 100
30.66 deg, I 86
31.19 deg, I 48
44.30 deg, I 24
47.04 deg, I 30
49.35 deg, I 17
59.54 deg, I 17
60.72 deg, I 22

Atomic structure:
a b c (Å): 9.934 9.934 7.205
angles (deg): 90.00 90.00 120.00
Element x y z (fractional)
1 Ac 0.000 0.246 0.000
2 Ac 0.000 0.754 0.500
3 Ac 0.246 0.000 0.000
4 Ac 0.246 0.246 0.500
5 Ac 0.333 0.667 0.255
6 Ac 0.333 0.667 0.745
7 Ac 0.667 0.333 0.255
8 Ac 0.667 0.333 0.745
9 Ac 0.754 0.000 0.500
10 Ac 0.754 0.754 0.000
11 Sb 0.000 0.388 0.500
12 Sb 0.388 0.000 0.500
13 Sb 0.612 0.612 0.500
14 Pb 0.000 0.608 0.000
15 Pb 0.392 0.392 0.000
16 Pb 0.608 0.000 0.000